Structure and simulated powder diffractogram of TbPrTmCu (a crystal structure in Alexandria, relaxed with GGA-PBE; Cu Kα, 1.54184 Å).

Structural model:
```
data_TbPrTmCu
_chemical_formula_sum 'Tb1 Pr1 Tm1 Cu1'
_space_group_name_H-M_alt 'P 4 m m'
_space_group_IT_number 99
_space_group_name_Hall 'P 4 -2'
_cell_length_a 3.521
_cell_length_b 3.521
_cell_length_c 8.718
_cell_angle_alpha 90.00
_cell_angle_beta 90.00
_cell_angle_gamma 90.00
loop_
_atom_site_label
_atom_site_fract_x
_atom_site_fract_y
_atom_site_fract_z
Tb1 0.000 0.000 0.000
Pr1 0.500 0.500 0.312
Tm1 0.000 0.000 0.619
Cu1 0.500 0.500 0.801
```

Peak list (12 most intense, 5° ≤ 2θ ≤ 70°, in order of rising 2θ)
hkl 1 0 0, 2θ = 25.29°, I 6; hkl 1 0 1, 2θ = 27.32°, I 29; hkl 0 0 3, 2θ = 30.77°, I 19; hkl 1 0 2, 2θ = 32.69°, I 100; hkl 1 1 0, 2θ = 36.07°, I 55; hkl 1 0 3, 2θ = 40.24°, I 14; hkl 1 1 3, 2θ = 48.13°, I 23; hkl 2 0 0, 2θ = 51.94°, I 19; hkl 1 0 5, 2θ = 59.13°, I 14; hkl 2 1 1, 2θ = 59.67°, I 7; hkl 2 0 3, 2θ = 61.59°, I 11; hkl 2 1 2, 2θ = 62.74°, I 30


Structure and simulated powder diffractogram of Sc5CSe4 (a crystal structure in Alexandria, relaxed with GGA-PBE; Cu Kα, 1.54184 Å).

Structural model:
```
data_Sc5CSe4
_chemical_formula_sum 'Sc10 C2 Se8'
_space_group_name_H-M_alt 'I 4/m'
_space_group_IT_number 87
_space_group_name_Hall '-I 4'
_cell_length_a 8.508
_cell_length_b 8.508
_cell_length_c 5.313
_cell_angle_alpha 90.00
_cell_angle_beta 90.00
_cell_angle_gamma 90.00
loop_
_atom_site_label
_atom_site_fract_x
_atom_site_fract_y
_atom_site_fract_z
Sc1 0.000 0.000 0.000
Sc2 0.088 0.749 0.500
C1 0.000 0.000 0.500
Se1 0.093 0.694 0.000
```

Peak list (12 most intense, 5° ≤ 2θ ≤ 70°, in order of rising 2θ)
hkl 1 2 1, 2θ = 28.86°, I 27; hkl 2 2 0, 2θ = 29.70°, I 7; hkl 3 1 0, 2θ = 33.30°, I 100; hkl 0 0 2, 2θ = 33.74°, I 53; hkl 3 0 1, 2θ = 35.90°, I 13; hkl 2 3 1, 2θ = 41.89°, I 16; hkl 2 4 0, 2θ = 47.81°, I 27; hkl 3 1 2, 2θ = 48.14°, I 67; hkl 4 3 1, 2θ = 56.82°, I 13; hkl 2 4 2, 2θ = 59.79°, I 26; hkl 6 1 1, 2θ = 69.50°, I 8; hkl 6 2 0, 2θ = 69.93°, I 7


Structure and simulated powder diffractogram of K2PRu (a crystal structure in Alexandria, relaxed with GGA-PBE; Cu Kα, 1.54184 Å).

Structural model:
```
data_K2PRu
_chemical_formula_sum 'K2 P1 Ru1'
_space_group_name_H-M_alt 'P 4 m m'
_space_group_IT_number 99
_space_group_name_Hall 'P 4 -2'
_cell_length_a 3.202
_cell_length_b 3.202
_cell_length_c 10.158
_cell_angle_alpha 90.00
_cell_angle_beta 90.00
_cell_angle_gamma 90.00
loop_
_atom_site_label
_atom_site_fract_x
_atom_site_fract_y
_atom_site_fract_z
K1 0.000 0.000 0.000
K2 0.500 0.500 0.427
P1 0.000 0.000 0.662
Ru1 0.500 0.500 0.750
```

Peak list (12 most intense, 5° ≤ 2θ ≤ 70°, in order of rising 2θ)
hkl 0 0 1, 2θ = 8.71°, I 100; hkl 0 0 3, 2θ = 26.32°, I 15; hkl 1 0 0, 2θ = 27.86°, I 5; hkl 1 0 1, 2θ = 29.24°, I 14; hkl 1 0 2, 2θ = 33.07°, I 20; hkl 1 0 3, 2θ = 38.70°, I 24; hkl 1 1 0, 2θ = 39.81°, I 18; hkl 1 1 1, 2θ = 40.83°, I 9; hkl 1 1 3, 2θ = 48.36°, I 10; hkl 1 1 4, 2θ = 54.28°, I 5; hkl 2 0 0, 2θ = 57.56°, I 6; hkl 1 0 6, 2θ = 62.01°, I 9


Structure and simulated powder diffractogram of LaBeBi3 (a crystal structure in Alexandria, relaxed with GGA-PBE; Cu Kα, 1.54184 Å).

Structural model:
```
data_LaBeBi3
_chemical_formula_sum 'La1 Be1 Bi3'
_space_group_name_H-M_alt 'P m -3 m'
_space_group_IT_number 221
_space_group_name_Hall '-P 4 2 3'
_cell_length_a 5.236
_cell_length_b 5.236
_cell_length_c 5.236
_cell_angle_alpha 90.00
_cell_angle_beta 90.00
_cell_angle_gamma 90.00
loop_
_atom_site_label
_atom_site_fract_x
_atom_site_fract_y
_atom_site_fract_z
La1 0.000 0.000 0.000
Be1 0.500 0.500 0.500
Bi1 0.000 0.500 0.500
```

Peak list (11 most intense, 5° ≤ 2θ ≤ 70°, in order of rising 2θ)
hkl 1 0 0, 2θ = 16.93°, I 3; hkl 1 1 0, 2θ = 24.04°, I 2; hkl 1 1 1, 2θ = 29.55°, I 100; hkl 2 0 0, 2θ = 34.25°, I 53; hkl 2 1 0, 2θ = 38.44°, I 2; hkl 2 1 1, 2θ = 42.28°, I 1; hkl 2 2 0, 2θ = 49.22°, I 39; hkl 3 0 0, 2θ = 52.43°, I 1; hkl 3 1 1, 2θ = 58.46°, I 46; hkl 2 2 2, 2θ = 61.33°, I 14; hkl 3 2 1, 2θ = 66.86°, I 1


Structure and simulated powder diffractogram of Fe4CoNi6 (a crystal structure in Alexandria, relaxed with GGA-PBE; Cu Kα, 1.54184 Å).

Structural model:
```
data_Fe4CoNi6
_chemical_formula_sum 'Fe16 Co4 Ni24'
_space_group_name_H-M_alt 'C c c e'
_space_group_IT_number 68
_cell_length_a 7.446
_cell_length_b 16.023
_cell_length_c 4.426
_cell_angle_alpha 90.00
_cell_angle_beta 90.00
_cell_angle_gamma 90.00
loop_
_space_group_symop_operation_xyz
'x,y,z'
'-x,-y,-z'
'-x+1/2,-y,z'
'x+1/2,y,-z'
'x+1/2,-y,-z+1/2'
'-x+1/2,y,z+1/2'
'-x,y,-z+1/2'
'x,-y,z+1/2'
'x+1/2,y+1/2,z'
'-x+1/2,-y+1/2,-z'
'-x,-y+1/2,z'
'x,y+1/2,-z'
'x,-y+1/2,-z+1/2'
'-x,y+1/2,z+1/2'
'-x+1/2,y+1/2,-z+1/2'
'x+1/2,-y+1/2,z+1/2'
loop_
_atom_site_label
_atom_site_fract_x
_atom_site_fract_y
_atom_site_fract_z
Fe1 0.164 0.126 0.248
Co1 0.000 0.250 0.250
Ni1 0.000 0.092 0.750
Ni2 0.160 0.250 0.750
Ni3 0.250 0.000 0.498
```

Peak list (12 most intense, 5° ≤ 2θ ≤ 70°, in order of rising 2θ)
hkl 0 6 0, 2θ = 33.56°, I 6; hkl 1 5 1, 2θ = 36.67°, I 10; hkl 0 0 2, 2θ = 40.78°, I 20; hkl 2 6 0, 2θ = 41.62°, I 15; hkl 0 2 2, 2θ = 42.38°, I 15; hkl 0 8 0, 2θ = 45.22°, I 100; hkl 0 4 2, 2θ = 46.91°, I 10; hkl 2 2 2, 2θ = 49.24°, I 8; hkl 3 5 1, 2θ = 50.91°, I 24; hkl 2 8 0, 2θ = 51.84°, I 6; hkl 0 6 2, 2θ = 53.80°, I 18; hkl 1 9 1, 2θ = 57.12°, I 6


Structure and simulated powder diffractogram of Mg5Cd3In3 (a crystal structure in Alexandria, relaxed with GGA-PBE; Cu Kα, 1.54184 Å).

Structural model:
```
data_Mg5Cd3In3
_chemical_formula_sum 'Mg5 Cd3 In3'
_space_group_name_H-M_alt 'P -6 2 m'
_space_group_IT_number 189
_space_group_name_Hall 'P -6 -2'
_cell_length_a 10.1157
_cell_length_b 10.1157
_cell_length_c 3.1874
_cell_angle_alpha 90.00
_cell_angle_beta 90.00
_cell_angle_gamma 120.00
loop_
_atom_site_label
_atom_site_fract_x
_atom_site_fract_y
_atom_site_fract_z
Mg1 0.0000 0.1730 0.0000
Mg2 0.3333 0.6667 0.0000
Cd1 0.0000 0.6698 0.0000
In1 0.0000 0.4189 0.5000
```

Peak list (12 most intense, 5° ≤ 2θ ≤ 70°, in order of rising 2θ)
hkl 1 1 0, 2θ = 17.53°, I 68; hkl 2 0 0, 2θ = 20.27°, I 29; hkl 2 1 0, 2θ = 26.93°, I 18; hkl 3 0 0, 2θ = 30.62°, I 59; hkl 1 1 1, 2θ = 33.22°, I 100; hkl 2 0 1, 2θ = 34.81°, I 28; hkl 3 1 0, 2θ = 37.00°, I 47; hkl 2 1 1, 2θ = 39.23°, I 20; hkl 2 2 1, 2θ = 45.80°, I 44; hkl 3 1 1, 2θ = 47.03°, I 20; hkl 4 1 0, 2θ = 47.57°, I 27; hkl 3 3 1, 2θ = 62.30°, I 20


Structure and simulated powder diffractogram of KTaBr2 (a crystal structure in Alexandria, relaxed with GGA-PBE; Cu Kα, 1.54184 Å).

Structural model:
```
data_KTaBr2
_chemical_formula_sum 'K1 Ta1 Br2'
_space_group_name_H-M_alt 'P m m m'
_space_group_IT_number 47
_space_group_name_Hall '-P 2 2'
_cell_length_a 3.346
_cell_length_b 4.272
_cell_length_c 7.192
_cell_angle_alpha 90.00
_cell_angle_beta 90.00
_cell_angle_gamma 90.00
loop_
_atom_site_label
_atom_site_fract_x
_atom_site_fract_y
_atom_site_fract_z
K1 0.000 0.000 0.000
Ta1 0.500 0.000 0.500
Br1 0.500 0.500 0.272
```

Peak list (12 most intense, 5° ≤ 2θ ≤ 70°, in order of rising 2θ)
hkl 0 0 1, 2θ = 12.31°, I 85; hkl 0 1 1, 2θ = 24.23°, I 19; hkl 1 0 0, 2θ = 26.64°, I 53; hkl 1 0 1, 2θ = 29.44°, I 53; hkl 0 1 2, 2θ = 32.55°, I 100; hkl 1 1 1, 2θ = 36.32°, I 40; hkl 0 2 0, 2θ = 42.31°, I 25; hkl 1 1 2, 2θ = 42.54°, I 59; hkl 0 0 4, 2θ = 50.74°, I 31; hkl 1 1 3, 2θ = 51.55°, I 31; hkl 1 2 1, 2θ = 52.39°, I 21; hkl 2 1 2, 2θ = 65.28°, I 26


Structure and simulated powder diffractogram of KBi2Pd4 (a crystal structure in Alexandria, relaxed with GGA-PBE; Cu Kα, 1.54184 Å).

Structural model:
```
data_KBi2Pd4
_chemical_formula_sum 'K4 Bi8 Pd16'
_space_group_name_H-M_alt 'I 4/m c m'
_space_group_IT_number 140
_space_group_name_Hall '-I 4 2c'
_cell_length_a 8.582
_cell_length_b 8.582
_cell_length_c 8.559
_cell_angle_alpha 90.00
_cell_angle_beta 90.00
_cell_angle_gamma 90.00
loop_
_atom_site_label
_atom_site_fract_x
_atom_site_fract_y
_atom_site_fract_z
K1 0.000 0.000 0.250
Bi1 0.152 0.348 0.000
Pd1 0.145 0.355 0.335
```

Peak list (12 most intense, 5° ≤ 2θ ≤ 70°, in order of rising 2θ)
hkl 1 1 0, 2θ = 14.60°, I 44; hkl 2 0 0, 2θ = 20.71°, I 16; hkl 2 1 1, 2θ = 25.44°, I 19; hkl 3 1 0, 2θ = 33.01°, I 50; hkl 2 1 3, 2θ = 39.35°, I 100; hkl 4 0 0, 2θ = 42.12°, I 21; hkl 3 3 0, 2θ = 44.81°, I 23; hkl 3 2 3, 2θ = 49.89°, I 12; hkl 4 1 3, 2θ = 54.58°, I 13; hkl 4 4 0, 2θ = 61.08°, I 6; hkl 6 0 0, 2θ = 65.23°, I 7; hkl 5 2 3, 2θ = 67.30°, I 31


Structure and simulated powder diffractogram of Dy4Tm2Sc3 (a crystal structure in Alexandria, relaxed with GGA-PBE; Cu Kα, 1.54184 Å).

Structural model:
```
data_Dy4Tm2Sc3
_chemical_formula_sum 'Dy16 Tm8 Sc12'
_space_group_name_H-M_alt 'C 1 2/c 1'
_space_group_IT_number 15
_space_group_name_Hall '-C 2yc'
_cell_length_a 15.401
_cell_length_b 11.221
_cell_length_c 6.006
_cell_angle_alpha 90.00
_cell_angle_beta 94.93
_cell_angle_gamma 90.00
loop_
_atom_site_label
_atom_site_fract_x
_atom_site_fract_y
_atom_site_fract_z
Dy1 0.048 0.142 0.010
Dy2 0.215 0.358 0.843
Tm1 0.118 0.359 0.323
Sc1 0.000 0.402 0.750
Sc2 0.167 0.099 0.582
```

Peak list (12 most intense, 5° ≤ 2θ ≤ 70°, in order of rising 2θ)
hkl 3 1 0, 2θ = 19.07°, I 24; hkl 2 2 -1, 2θ = 24.04°, I 28; hkl 3 3 0, 2θ = 29.59°, I 29; hkl 1 1 -2, 2θ = 31.00°, I 55; hkl 0 4 0, 2θ = 31.90°, I 50; hkl 5 1 -1, 2θ = 32.62°, I 65; hkl 4 2 1, 2θ = 32.93°, I 100; hkl 1 3 -2, 2θ = 38.59°, I 48; hkl 5 3 -1, 2θ = 39.94°, I 18; hkl 5 5 -1, 2θ = 52.00°, I 22; hkl 6 2 -3, 2θ = 58.55°, I 20; hkl 2 0 -4, 2θ = 62.15°, I 17


Structure and simulated powder diffractogram of LiIn2Hg2Pb (a crystal structure in Alexandria, relaxed with GGA-PBE; Cu Kα, 1.54184 Å).

Structural model:
```
data_LiIn2Hg2Pb
_chemical_formula_sum 'Li3 In6 Hg6 Pb3'
_space_group_name_H-M_alt 'R -3 m'
_space_group_IT_number 166
_space_group_name_Hall '-R 3 2"'
_cell_length_a 4.6400
_cell_length_b 4.6400
_cell_length_c 25.6718
_cell_angle_alpha 90.00
_cell_angle_beta 90.00
_cell_angle_gamma 120.00
loop_
_atom_site_label
_atom_site_fract_x
_atom_site_fract_y
_atom_site_fract_z
Li1 0.0000 0.0000 0.0000
In1 0.0000 0.0000 0.2399
Hg1 0.0000 0.0000 0.3695
Pb1 0.0000 0.0000 0.5000
```

Peak list (12 most intense, 5° ≤ 2θ ≤ 70°, in order of rising 2θ)
hkl 1 0 1, 2θ = 22.39°, I 100; hkl 1 0 7, 2θ = 33.07°, I 76; hkl 0 1 8, 2θ = 35.81°, I 95; hkl 1 1 0, 2θ = 38.82°, I 85; hkl 0 2 1, 2θ = 45.27°, I 16; hkl 0 2 7, 2θ = 51.89°, I 22; hkl 2 0 8, 2θ = 53.83°, I 30; hkl 2 1 1, 2θ = 61.12°, I 14; hkl 1 0 16, 2θ = 62.31°, I 14; hkl 2 1 7, 2θ = 66.65°, I 21; hkl 1 1 15, 2θ = 68.08°, I 28; hkl 1 2 8, 2θ = 68.33°, I 29


Structure and simulated powder diffractogram of Ag14Ge2Te9 (a crystal structure in Alexandria, relaxed with GGA-PBE; Cu Kα, 1.54184 Å).

Structural model:
```
data_Ag14Ge2Te9
_chemical_formula_sum 'Ag14 Ge2 Te9'
_space_group_name_H-M_alt 'P -1'
_space_group_IT_number 2
_space_group_name_Hall '-P 1'
_cell_length_a 8.125
_cell_length_b 8.157
_cell_length_c 11.413
_cell_angle_alpha 88.54
_cell_angle_beta 88.80
_cell_angle_gamma 61.15
loop_
_atom_site_label
_atom_site_fract_x
_atom_site_fract_y
_atom_site_fract_z
Ag1 0.031 0.445 0.259
Ag2 0.035 0.742 0.416
Ag3 0.040 0.149 0.098
Ag4 0.306 0.512 0.608
Ag5 0.328 0.486 0.104
Ag6 0.330 0.098 0.429
Ag7 0.347 0.161 0.942
Ge1 0.346 0.790 0.249
Te1 0.000 0.500 0.000
Te2 0.004 0.883 0.658
Te3 0.321 0.175 0.685
Te4 0.323 0.815 0.990
Te5 0.375 0.429 0.350
```

Peak list (12 most intense, 5° ≤ 2θ ≤ 70°, in order of rising 2θ)
hkl -1 1 1, 2θ = 22.81°, I 21; hkl 2 1 1, 2θ = 23.09°, I 29; hkl 1 2 -1, 2θ = 23.38°, I 73; hkl -1 1 2, 2θ = 26.54°, I 17; hkl 0 3 0, 2θ = 37.78°, I 31; hkl 3 0 0, 2θ = 37.93°, I 51; hkl 2 1 4, 2θ = 38.20°, I 100; hkl 3 3 0, 2θ = 38.53°, I 54; hkl 1 2 -4, 2θ = 39.00°, I 33; hkl 2 2 -4, 2θ = 41.35°, I 15; hkl 4 2 -4, 2θ = 56.16°, I 13; hkl 6 3 0, 2θ = 69.44°, I 11


Structure and simulated powder diffractogram of Pm4PrEr2 (a crystal structure in Alexandria, relaxed with GGA-PBE; Cu Kα, 1.54184 Å).

Structural model:
```
data_Pm4PrEr2
_chemical_formula_sum 'Pm8 Pr2 Er4'
_space_group_name_H-M_alt 'P 1 21/m 1'
_space_group_IT_number 11
_space_group_name_Hall '-P 2yb'
_cell_length_a 6.204
_cell_length_b 6.648
_cell_length_c 11.737
_cell_angle_alpha 90.00
_cell_angle_beta 104.64
_cell_angle_gamma 90.00
loop_
_atom_site_label
_atom_site_fract_x
_atom_site_fract_y
_atom_site_fract_z
Pm1 0.141 0.002 0.288
Pm2 0.206 0.250 0.561
Pm3 0.344 0.750 0.849
Pr1 0.483 0.750 0.150
Er1 0.100 0.250 0.001
Er2 0.356 0.750 0.561
```

Peak list (12 most intense, 5° ≤ 2θ ≤ 70°, in order of rising 2θ)
hkl 0 2 0, 2θ = 26.82°, I 22; hkl 1 1 2, 2θ = 27.67°, I 17; hkl 1 1 -3, 2θ = 27.93°, I 22; hkl 2 0 -1, 2θ = 28.78°, I 36; hkl 1 2 0, 2θ = 30.77°, I 28; hkl 1 0 3, 2θ = 30.95°, I 59; hkl 1 0 -4, 2θ = 31.23°, I 100; hkl 2 1 0, 2θ = 32.73°, I 69; hkl 1 2 -2, 2θ = 32.87°, I 61; hkl 0 2 3, 2θ = 35.96°, I 17; hkl 1 4 3, 2θ = 64.70°, I 15; hkl 1 4 -4, 2θ = 64.87°, I 20